This entry pairs a crystal structure of MgSb2O6 with its theoretical PXRD pattern. Radiation: copper Kα. Structure: a crystal structure in the Materials Project, relaxed with PBE.

Principal peaks in the range 2θ from 15° to 90°, in order of rising 2θ:
Position (°2θ)	I (rel.)
23.49	50
23.66	100
33.00	22
33.58	83
34.39	18
42.07	14
48.40	22
53.61	14
54.23	21
54.48	22
59.31	17
61.08	22

Structure:
Unit cell a=7.575 b=5.429 c=5.216 alpha=90.00 beta=90.00 gamma=90.00
Space group Pmn2_1 (No. 31)
Inequivalent atoms, fractional coordinates:
Mg: 0.000 0.179 0.000
Sb: 0.249 0.742 0.982
O: 0.000 0.288 0.621
O: 0.000 0.809 0.877
O: 0.184 0.427 0.153
O: 0.188 0.957 0.281